No. 1
# Ti3MnV2P6O24
Computed X-ray diffraction stick pattern, Cu Kα X-rays. Input: a cell relaxed with PBE+U.

Largest 10 diffraction maxima, low angle first, 15 to 90 degrees two-theta:
2θ = 20.40°, I 58; 2θ = 24.11°, I 100; 2θ = 25.11°, I 13; 2θ = 31.69°, I 14; 2θ = 32.93°, I 58; 2θ = 35.73°, I 29; 2θ = 47.20°, I 23; 2θ = 49.37°, I 22; 2θ = 55.88°, I 18; 2θ = 62.42°, I 15

Crystal structure
Cell: 8.591 8.591 8.591 Å, 60.89 60.89 60.89°
Atoms (fractional coordinates):
1 Ti 0.000 0.000 0.000
2 Ti 0.211 0.211 0.211
3 Ti 0.708 0.708 0.708
4 Mn 0.499 0.499 0.499
5 V 0.355 0.355 0.355
6 V 0.856 0.856 0.856
7 P 0.100 0.812 0.399
8 P 0.306 0.603 0.901
9 P 0.399 0.100 0.812
10 P 0.603 0.901 0.306
11 P 0.812 0.399 0.100
12 P 0.901 0.306 0.603
13 O 0.022 0.872 0.243
14 O 0.099 0.295 0.444
15 O 0.113 0.766 0.926
16 O 0.168 0.973 0.353
17 O 0.243 0.022 0.872
18 O 0.252 0.620 0.404
19 O 0.295 0.444 0.099
20 O 0.332 0.539 0.754
21 O 0.353 0.168 0.973
22 O 0.404 0.252 0.620
23 O 0.444 0.099 0.295
24 O 0.474 0.665 0.851
25 O 0.539 0.754 0.332
26 O 0.594 0.939 0.801
27 O 0.620 0.404 0.252
28 O 0.665 0.851 0.474
29 O 0.754 0.332 0.539
30 O 0.766 0.926 0.113
31 O 0.801 0.594 0.939
32 O 0.851 0.474 0.665
33 O 0.872 0.243 0.022
34 O 0.926 0.113 0.766
35 O 0.939 0.801 0.594
36 O 0.973 0.353 0.168



No. 2
# MnTlP3O9
Computed X-ray diffraction stick pattern, Cu Kα X-rays. Input: a cell relaxed with PBE+U.

Largest 10 diffraction maxima, low angle first, 15 to 90 degrees two-theta:
2θ = 20.81°, I 76; 2θ = 22.01°, I 100; 2θ = 24.65°, I 74; 2θ = 26.34°, I 55; 2θ = 26.65°, I 66; 2θ = 29.48°, I 95; 2θ = 30.33°, I 64; 2θ = 31.23°, I 83; 2θ = 32.67°, I 55; 2θ = 37.50°, I 65

Crystal structure
Cell: 9.612 7.451 12.389 Å, 90.00 90.00 90.00°
Atoms (fractional coordinates):
1 Mn 0.013 0.250 0.218
2 Mn 0.487 0.750 0.718
3 Mn 0.513 0.250 0.282
4 Mn 0.987 0.750 0.782
5 Tl 0.094 0.750 0.079
6 Tl 0.406 0.250 0.579
7 Tl 0.594 0.750 0.421
8 Tl 0.906 0.250 0.921
9 P 0.206 0.750 0.545
10 P 0.246 0.548 0.349
11 P 0.246 0.952 0.349
12 P 0.254 0.048 0.849
13 P 0.254 0.452 0.849
14 P 0.294 0.250 0.045
15 P 0.706 0.750 0.955
16 P 0.746 0.548 0.151
17 P 0.746 0.952 0.151
18 P 0.754 0.048 0.651
19 P 0.754 0.452 0.651
20 P 0.794 0.250 0.455
21 O 0.102 0.750 0.633
22 O 0.120 0.550 0.868
23 O 0.120 0.950 0.868
24 O 0.140 0.025 0.272
25 O 0.140 0.250 0.068
26 O 0.140 0.475 0.272
27 O 0.170 0.582 0.465
28 O 0.170 0.918 0.465
29 O 0.213 0.250 0.811
30 O 0.287 0.750 0.311
31 O 0.330 0.082 0.965
32 O 0.330 0.418 0.965
33 O 0.360 0.525 0.772
34 O 0.360 0.750 0.568
35 O 0.360 0.975 0.772
36 O 0.380 0.050 0.368
37 O 0.380 0.450 0.368
38 O 0.398 0.250 0.133
39 O 0.602 0.750 0.867
40 O 0.620 0.550 0.632
41 O 0.620 0.950 0.632
42 O 0.640 0.025 0.228
43 O 0.640 0.250 0.432
44 O 0.640 0.475 0.228
45 O 0.670 0.582 0.035
46 O 0.670 0.918 0.035
47 O 0.713 0.250 0.689
48 O 0.787 0.750 0.189
49 O 0.830 0.082 0.535
50 O 0.830 0.418 0.535
51 O 0.860 0.525 0.728
52 O 0.860 0.750 0.932
53 O 0.860 0.975 0.728
54 O 0.880 0.050 0.132
55 O 0.880 0.450 0.132
56 O 0.898 0.250 0.367



No. 3
# U2MnP2O22
Computed X-ray diffraction stick pattern, Cu Kα X-rays. Input: a cell relaxed with PBE+U.

Largest 10 diffraction maxima, low angle first, 15 to 90 degrees two-theta:
2θ = 17.85°, I 29; 2θ = 18.58°, I 20; 2θ = 18.78°, I 100; 2θ = 20.01°, I 31; 2θ = 20.14°, I 17; 2θ = 25.24°, I 63; 2θ = 26.53°, I 56; 2θ = 26.94°, I 47; 2θ = 31.53°, I 23; 2θ = 31.72°, I 18

Crystal structure
Cell: 10.767 10.767 7.046 Å, 108.94 108.94 125.02°
Atoms (fractional coordinates):
1 U 0.201 0.799 0.000
2 U 0.799 0.201 0.000
3 Mn 0.000 0.000 0.500
4 P 0.251 0.749 0.500
5 P 0.749 0.251 0.500
6 O 0.014 0.014 0.749
7 O 0.106 0.894 0.000
8 O 0.120 0.524 0.339
9 O 0.187 0.781 0.307
10 O 0.202 0.331 0.739
11 O 0.219 0.813 0.693
12 O 0.296 0.704 0.000
13 O 0.318 0.424 0.704
14 O 0.331 0.202 0.739
15 O 0.424 0.318 0.704
16 O 0.476 0.880 0.661
17 O 0.524 0.120 0.339
18 O 0.576 0.682 0.296
19 O 0.669 0.798 0.261
20 O 0.682 0.576 0.296
21 O 0.704 0.296 0.000
22 O 0.781 0.187 0.307
23 O 0.798 0.669 0.261
24 O 0.813 0.219 0.693
25 O 0.880 0.476 0.661
26 O 0.894 0.106 0.000
27 O 0.986 0.986 0.251



No. 4
# MnV3P4O16
Computed X-ray diffraction stick pattern, Cu Kα X-rays. Input: a cell relaxed with PBE+U.

Largest 10 diffraction maxima, low angle first, 15 to 90 degrees two-theta:
2θ = 17.56°, I 92; 2θ = 19.98°, I 78; 2θ = 20.17°, I 66; 2θ = 23.15°, I 47; 2θ = 25.07°, I 66; 2θ = 25.21°, I 44; 2θ = 30.20°, I 100; 2θ = 35.53°, I 68; 2θ = 35.87°, I 67; 2θ = 48.10°, I 30

Crystal structure
Cell: 4.920 5.919 10.100 Å, 90.00 90.69 90.00°
Atoms (fractional coordinates):
1 Mn 0.000 0.000 0.000
2 V 0.056 0.500 0.455
3 V 0.493 0.500 0.944
4 V 0.556 0.000 0.495
5 P 0.120 0.000 0.325
6 P 0.474 0.000 0.815
7 P 0.625 0.500 0.628
8 P 0.931 0.500 0.124
9 O 0.184 0.000 0.180
10 O 0.236 0.500 0.092
11 O 0.267 0.203 0.401
12 O 0.267 0.797 0.401
13 O 0.318 0.500 0.606
14 O 0.336 0.209 0.891
15 O 0.336 0.791 0.891
16 O 0.382 0.000 0.671
17 O 0.700 0.500 0.777
18 O 0.769 0.298 0.554
19 O 0.769 0.702 0.554
20 O 0.771 0.303 0.052
21 O 0.771 0.697 0.052
22 O 0.778 0.000 0.829
23 O 0.815 0.000 0.351
24 O 0.894 0.500 0.273